# RbPu3O9
Calculated XRD peak list, λ = 1.5418 Å (Cu Kα). Input: the PBE geometry in Alexandria.
Lines closer than 0.1° are merged.

The 10 most intense peaks (2θ from 10° to 90°), in order of falling intensity:
2θ 25.81, I 100.0
2θ 33.82, I 43.1
2θ 21.48, I 36.3
2θ 25.09, I 33.3
2θ 51.50, I 31.3
2θ 45.52, I 26.7
2θ 12.82, I 23.5
2θ 31.16, I 20.2
2θ 50.86, I 19.2
2θ 64.98, I 18.3

```
data_RbPu3O9
_cell_length_a 7.9715
_cell_length_b 7.9715
_cell_length_c 4.1376
_cell_angle_alpha 90.00
_cell_angle_beta 90.00
_cell_angle_gamma 120.00
_symmetry_space_group_name_H-M 'P 1'
_symmetry_Int_Tables_number 1
loop_
_symmetry_equiv_pos_as_xyz
'x,y,z'
loop_
_atom_site_label
_atom_site_type_symbol
_atom_site_fract_x
_atom_site_fract_y
_atom_site_fract_z
Rb1 Rb 0.0000 0.0000 0.0000
Pu1 Pu 0.0000 0.5000 0.5000
Pu2 Pu 0.5000 0.0000 0.5000
Pu3 Pu 0.5000 0.5000 0.5000
O1 O 0.0000 0.5000 0.0000
O2 O 0.2055 0.4109 0.5000
O3 O 0.2055 0.7945 0.5000
O4 O 0.4109 0.2055 0.5000
O5 O 0.5000 0.0000 0.0000
O6 O 0.5000 0.5000 0.0000
O7 O 0.5891 0.7945 0.5000
O8 O 0.7945 0.2055 0.5000
O9 O 0.7945 0.5891 0.5000
```


# Cu4Sn7S16
Calculated XRD peak list, λ = 1.5418 Å (Cu Kα). Input: the PBE geometry in Alexandria.
Lines closer than 0.1° are merged.

The 10 most intense peaks (2θ from 10° to 90°), in order of falling intensity:
2θ 33.96, I 100.0
2θ 28.07, I 95.8
2θ 48.93, I 56.1
2θ 48.65, I 45.3
2θ 14.56, I 38.6
2θ 44.63, I 38.4
2θ 14.45, I 36.7
2θ 27.93, I 35.7
2θ 81.34, I 21.0
2θ 60.90, I 17.7

```
data_Cu4Sn7S16
_cell_length_a 12.9889
_cell_length_b 12.9889
_cell_length_c 12.9889
_cell_angle_alpha 33.31
_cell_angle_beta 33.31
_cell_angle_gamma 33.31
_symmetry_space_group_name_H-M 'P 1'
_symmetry_Int_Tables_number 1
loop_
_symmetry_equiv_pos_as_xyz
'x,y,z'
loop_
_atom_site_label
_atom_site_type_symbol
_atom_site_fract_x
_atom_site_fract_y
_atom_site_fract_z
Cu1 Cu 0.0000 0.0000 0.0000
Cu2 Cu 0.1075 0.1075 0.1075
Cu3 Cu 0.2945 0.2945 0.2945
Cu4 Cu 0.5882 0.5882 0.5882
Sn1 Sn 0.0451 0.0451 0.5486
Sn2 Sn 0.0451 0.5486 0.0451
Sn3 Sn 0.0506 0.5412 0.5412
Sn4 Sn 0.5412 0.0506 0.5412
Sn5 Sn 0.5412 0.5412 0.0506
Sn6 Sn 0.5486 0.0451 0.0451
Sn7 Sn 0.7981 0.7981 0.7981
S1 S 0.1634 0.6756 0.6756
S2 S 0.1712 0.1712 0.1712
S3 S 0.1774 0.1774 0.6556
S4 S 0.1774 0.6556 0.1774
S5 S 0.4120 0.4120 0.9362
S6 S 0.4120 0.9362 0.4120
S7 S 0.4188 0.4188 0.4188
S8 S 0.4299 0.9157 0.9157
S9 S 0.6556 0.1774 0.1774
S10 S 0.6726 0.6726 0.6726
S11 S 0.6756 0.1634 0.6756
S12 S 0.6756 0.6756 0.1634
S13 S 0.9157 0.4299 0.9157
S14 S 0.9157 0.9157 0.4299
S15 S 0.9204 0.9204 0.9204
S16 S 0.9362 0.4120 0.4120
```